Computed X-ray powder pattern of TbPmSm2Ho4 for Cu Kα, 1.54184 Å, from a cell relaxed with GGA-PBE.
Kinematic intensities with the Lorentz-polarization factor, no thermal factor.

Cell and atoms:
Cell lengths 13.626, 13.272, 6.812 Å; angles 90.00, 119.99, 90.00 degrees
Space group C2/c (No. 15)
Asymmetric unit:
Tb (0.000, 0.000, 0.000)
Pm (0.250, 0.250, 0.000)
Sm (0.000, 0.500, 0.000)
Sm (0.250, 0.250, 0.500)
Ho (0.000, 0.248, 0.000)
Ho (0.248, 0.000, 0.000)

Peak list (6 most intense, 2θ = 10–90°, by angle)
- hkl 0 4 0, 26.87 deg, I 45
- hkl 4 0 0, 30.30 deg, I 100
- hkl 4 4 0, 40.94 deg, I 89
- hkl 4 0 2, 53.82 deg, I 20
- hkl 4 4 2, 61.17 deg, I 27
- hkl 4 8 0, 64.43 deg, I 23